Structure and computed PXRD pattern of MoCl2O3 (a structure optimized by DFT (PBE+U); Cu Kα, 1.54184 Å).

Most intense lines, 5° ≤ 2θ ≤ 70°, sorted by position:
| 2theta | intensity |
| --- | --- |
| 15.2 | 100 |
| 24.1 | 23 |
| 24.6 | 30 |
| 25.8 | 41 |
| 37.9 | 17 |
| 46.4 | 21 |

Crystal structure
```
48
Lattice="15.6408 0.0000 0.0000 0.0000 9.4927 0.0000 0.0000 0.0000 7.3945" Properties=species:S:1:pos:R:3 pbc="T T T"
Mo 0.6996 2.3732 1.4828
Mo 3.1957 7.1195 5.2253
Mo 4.6247 2.3732 1.5281
Mo 7.1209 7.1195 5.1801
Mo 8.5200 2.3732 2.2144
Mo 11.0161 7.1195 5.8664
Mo 12.4451 2.3732 2.1692
Mo 14.9413 7.1195 5.9117
Cl 1.0427 0.1187 2.0272
Cl 1.0427 4.6277 2.0272
Cl 2.8855 4.8617 5.7719
Cl 2.8855 9.3773 5.7719
Cl 4.9350 0.1154 2.0747
Cl 4.9350 4.6310 2.0747
Cl 6.7777 4.8650 5.7244
Cl 6.7777 9.3740 5.7244
Cl 8.8631 0.1187 1.6700
Cl 8.8631 4.6277 1.6700
Cl 10.7059 4.8617 5.3198
Cl 10.7059 9.3773 5.3198
Cl 12.7554 0.1154 1.6226
Cl 12.7554 4.6310 1.6226
Cl 14.5981 4.8650 5.3673
Cl 14.5981 9.3740 5.3673
O 0.8493 2.3732 7.1706
O 1.0109 2.3732 3.6886
O 1.0725 7.1195 5.6136
O 2.8392 2.3732 1.7576
O 2.9583 7.1195 3.5283
O 3.0188 7.1195 0.0405
O 4.8016 2.3732 3.7377
O 4.8621 2.3732 7.2255
O 4.9812 7.1195 5.4549
O 6.7479 2.3732 1.9164
O 6.8095 7.1195 7.3858
O 6.9711 7.1195 3.4733
O 8.6698 2.3732 3.9211
O 8.8313 2.3732 0.0087
O 8.8929 7.1195 5.4781
O 10.6597 2.3732 1.9396
O 10.7787 7.1195 0.1689
O 10.8393 7.1195 3.6568
O 12.6220 2.3732 7.3540
O 12.6826 2.3732 3.8662
O 12.8016 7.1195 5.6368
O 14.5684 2.3732 1.7808
O 14.6299 7.1195 3.7059
O 14.7915 7.1195 0.2239
```

Structure and computed PXRD pattern of Mo3Cl4O9 (a structure optimized by DFT (PBE+U); Cu Kα, 1.54184 Å).

Most intense lines, 5° ≤ 2θ ≤ 70°, sorted by position:
| 2theta | intensity |
| --- | --- |
| 10.2 | 100 |
| 15.0 | 65 |
| 19.1 | 58 |
| 24.0 | 47 |
| 30.8 | 84 |
| 39.0 | 50 |

Crystal structure
```
32
Lattice="6.4271 3.7107 4.6420 -6.4271 3.7107 4.6420 0.0000 -7.4214 4.6420" Properties=species:S:1:pos:R:3 pbc="T T T"
Mo -1.9005 -1.0973 4.4741
Mo 1.9005 -1.0973 4.4741
Mo 0.0000 2.1945 4.4741
Mo 0.0000 -2.1945 9.4519
Mo -1.9005 1.0973 9.4519
Mo 1.9005 1.0973 9.4519
Cl 0.0000 0.0000 3.1648
Cl 0.0000 -2.2671 5.5288
Cl -1.9634 1.1336 5.5288
Cl -1.9634 -1.1336 8.3972
Cl 1.9634 1.1336 5.5288
Cl 1.9634 -1.1336 8.3973
Cl 0.0000 2.2671 8.3973
Cl 0.0000 0.0000 10.7612
O -2.0501 -5.5171 5.8139
O -5.8030 0.9831 5.8139
O -3.3356 -1.9258 5.9409
O -3.7529 -4.5340 8.1122
O -5.8030 -0.9831 8.1122
O 2.0501 -5.5171 5.8138
O -3.7529 4.5340 5.8138
O 0.0000 -3.8516 7.9851
O -3.3356 1.9258 7.9851
O 3.3356 -1.9258 5.9409
O 0.0000 3.8516 5.9409
O 3.7528 -4.5340 8.1122
O -2.0501 5.5171 8.1122
O 5.8030 0.9831 5.8139
O 3.7528 4.5340 5.8139
O 3.3356 1.9258 7.9851
O 5.8030 -0.9831 8.1122
O 2.0501 5.5171 8.1122
```

Structure and computed PXRD pattern of Mo2Cl4O (a structure optimized by DFT (PBE+U); Cu Kα, 1.54184 Å).

Most intense lines, 5° ≤ 2θ ≤ 70°, sorted by position:
| 2theta | intensity |
| --- | --- |
| 17.0 | 31 |
| 19.1 | 100 |
| 20.2 | 76 |
| 29.0 | 30 |
| 38.7 | 33 |
| 43.0 | 27 |

Crystal structure
```
7
Lattice="5.2511 -3.2368 0.0000 5.2511 3.2368 0.0000 -3.6796 0.0000 5.6191" Properties=species:S:1:pos:R:3 pbc="T T T"
Mo 1.3346 0.0000 1.1432
Mo 5.4881 0.0000 4.4759
Cl 3.0957 1.8319 0.7697
Cl 0.3664 1.1032 3.2311
Cl 3.7270 1.8319 4.8495
Cl 6.4564 1.1032 2.3880
O 5.2511 -2.3684 0.0000
```

Structure and computed PXRD pattern of MoCl2O3 (a structure optimized by DFT (PBE+U); Cu Kα, 1.54184 Å).

Most intense lines, 5° ≤ 2θ ≤ 70°, sorted by position:
| 2theta | intensity |
| --- | --- |
| 15.0 | 100 |
| 23.8 | 21 |
| 24.4 | 28 |
| 25.6 | 36 |
| 30.3 | 18 |
| 37.3 | 15 |

Crystal structure
```
12
Lattice="9.6374 0.0000 0.0000 0.0000 3.9350 0.0000 0.0000 0.0000 7.4865" Properties=species:S:1:pos:R:3 pbc="T T T"
Mo 0.0000 0.7098 0.0000
Mo 4.8187 3.2252 3.7433
Cl 2.2437 1.0407 0.5952
Cl 2.5750 2.8943 4.3385
Cl 7.0624 2.8943 4.3385
Cl 7.3938 1.0407 0.5952
O 0.0000 0.8972 5.7885
O 0.0000 1.0578 2.1804
O 0.0000 2.8695 0.2437
O 4.8187 1.0656 3.9870
O 4.8187 2.8773 5.9237
O 4.8187 3.0378 2.0452
```

Structure and computed PXRD pattern of MoPCl8O (a structure optimized by DFT (PBE+U); Cu Kα, 1.54184 Å).

Most intense lines, 5° ≤ 2θ ≤ 70°, sorted by position:
| 2theta | intensity |
| --- | --- |
| 14.7 | 100 |
| 15.1 | 50 |
| 18.1 | 26 |
| 21.1 | 24 |
| 22.4 | 34 |
| 32.3 | 29 |

Crystal structure
```
44
Lattice="17.2389 0.0000 0.0000 0.0000 8.4212 0.0000 0.0000 0.0000 9.3023" Properties=species:S:1:pos:R:3 pbc="T T T"
Mo 2.5340 2.1053 0.7260
Mo 6.0855 6.3159 5.3771
Mo 11.1535 2.1053 3.9252
Mo 14.7049 6.3159 8.5764
P 1.3128 2.1053 6.6871
P 7.3066 6.3159 2.0360
P 9.9323 2.1053 7.2664
P 15.9261 6.3159 2.6152
Cl 0.5354 6.3159 3.3343
Cl 0.5560 2.1053 2.0021
Cl 2.2146 0.5187 5.9114
Cl 2.2146 3.6919 5.9114
Cl 2.3867 4.3935 0.4663
Cl 2.3867 8.2383 0.4663
Cl 3.8123 2.1053 2.6284
Cl 4.1169 6.3159 4.0294
Cl 4.5026 2.1053 8.6806
Cl 4.8072 6.3159 7.2795
Cl 6.2327 0.1829 5.1174
Cl 6.2327 4.0277 5.1174
Cl 6.4049 4.7293 1.2602
Cl 6.4049 7.9025 1.2602
Cl 8.0635 6.3159 6.6533
Cl 8.0841 2.1053 7.9855
Cl 9.1548 6.3159 1.3169
Cl 9.1754 2.1053 2.6491
Cl 10.8340 0.5187 8.0421
Cl 10.8340 3.6919 8.0421
Cl 11.0062 4.3935 4.1849
Cl 11.0062 8.2383 4.1849
Cl 12.4318 2.1053 2.0228
Cl 12.7363 6.3159 0.6217
Cl 13.1221 2.1053 5.2729
Cl 13.4267 6.3159 6.6740
Cl 14.8522 0.1829 8.8361
Cl 14.8522 4.0277 8.8361
Cl 15.0244 4.7293 3.3909
Cl 15.0244 7.9025 3.3909
Cl 16.6830 6.3159 7.3002
Cl 16.7036 2.1053 5.9680
O 1.2833 2.1053 8.1798
O 7.3361 6.3159 3.5286
O 9.9028 2.1053 5.7737
O 15.9556 6.3159 1.1226
```

Structure and computed PXRD pattern of RbMoPClO5 (a structure optimized by DFT (PBE+U); Cu Kα, 1.54184 Å).

Most intense lines, 5° ≤ 2θ ≤ 70°, sorted by position:
| 2theta | intensity |
| --- | --- |
| 17.8 | 36 |
| 22.4 | 36 |
| 23.3 | 31 |
| 27.1 | 100 |
| 36.1 | 38 |
| 38.7 | 23 |

Crystal structure
```
18
Lattice="6.5738 0.0000 0.0000 0.0000 6.5738 0.0000 0.0000 0.0000 7.6377" Properties=species:S:1:pos:R:3 pbc="T T T"
Rb 1.6434 4.9303 0.0000
Rb 4.9303 1.6434 0.0000
Mo 1.6434 1.6434 3.1257
Mo 4.9303 4.9303 4.5120
P 1.6434 4.9303 3.8189
P 4.9303 1.6434 3.8189
Cl 1.6434 1.6434 0.5147
Cl 4.9303 4.9303 7.1230
O 0.4150 4.9303 4.7645
O 1.6434 1.6434 4.8282
O 1.6434 3.7018 2.8733
O 1.6434 6.1588 2.8733
O 2.8719 4.9303 4.7645
O 3.7018 1.6434 2.8733
O 4.9303 0.4150 4.7645
O 4.9303 2.8719 4.7645
O 4.9303 4.9303 2.8095
O 6.1588 1.6434 2.8733
```

Structure and computed PXRD pattern of PrMoClO4 (a structure optimized by DFT (PBE+U); Cu Kα, 1.54184 Å).

Most intense lines, 5° ≤ 2θ ≤ 70°, sorted by position:
| 2theta | intensity |
| --- | --- |
| 18.4 | 68 |
| 23.8 | 100 |
| 27.0 | 99 |
| 29.1 | 54 |
| 30.3 | 62 |
| 32.9 | 75 |

Crystal structure
```
56
Lattice="19.3288 0.0000 0.0000 0.0000 5.9078 0.0000 -0.0114 0.0000 7.9591" Properties=species:S:1:pos:R:3 pbc="T T T"
Pr 2.0175 1.1617 0.9733
Pr 2.0117 1.7923 4.9529
Pr 7.6393 4.1091 2.9706
Pr 7.6335 4.7526 6.9501
Pr 11.6838 1.1552 1.0090
Pr 11.6781 1.7987 4.9885
Pr 17.3056 4.1156 3.0062
Pr 17.2999 4.7462 6.9857
Mo 3.4323 4.3965 6.7083
Mo 3.4380 4.4653 2.7288
Mo 6.2173 1.4647 0.7312
Mo 6.2116 1.4892 4.7107
Mo 13.1057 4.4187 3.2483
Mo 13.1000 4.4431 7.2278
Mo 15.8793 1.4426 5.2303
Mo 15.8851 1.5113 1.2508
Cl 0.1930 4.3530 4.9916
Cl 0.1988 4.5088 1.0121
Cl 9.4566 1.3907 6.9628
Cl 9.4623 1.5632 2.9833
Cl 9.8550 4.3446 4.9757
Cl 9.8607 4.5172 0.9962
Cl 19.1186 1.3991 6.9470
Cl 19.1243 1.5548 2.9674
O 2.5445 0.0810 3.2324
O 2.5388 2.8729 7.2120
O 2.5957 0.1276 6.7295
O 2.6014 2.8264 2.7499
O 3.3069 4.0136 4.9353
O 3.3126 4.8481 0.9558
O 4.4637 1.3880 4.9661
O 4.4694 1.5659 0.9865
O 5.1792 4.3809 6.9911
O 5.1849 4.4809 3.0116
O 6.3441 1.0663 6.9215
O 6.3498 1.8877 2.9419
O 7.0485 3.0378 5.2293
O 7.0542 5.8240 1.2498
O 7.1065 3.0785 0.7622
O 7.1008 5.7832 4.7417
O 12.2166 0.1246 3.2173
O 12.2108 2.8293 7.1969
O 12.2632 0.0839 6.7093
O 12.2689 2.8700 2.7297
O 12.9675 4.0202 5.0171
O 12.9732 4.8416 1.0376
O 14.1324 1.4270 4.9475
O 14.1381 1.5269 0.9679
O 14.8479 4.3419 6.9725
O 14.8536 4.5198 2.9930
O 16.0047 1.0597 7.0032
O 16.0104 1.8942 3.0237
O 16.7159 3.0815 5.2091
O 16.7217 5.7803 1.2296
O 16.7785 3.0349 0.7471
O 16.7728 5.8269 4.7266
```